PmNd4Se7: computed powder diffraction line list (λ = 1.5418 Å (Cu Kα)), based on a DFT-relaxed cell (GGA-PBE, Alexandria).

The 6 most intense peaks (2θ from 10° to 90°), by angle:
22.13°, rel. 78.5
22.64°, rel. 86.3
29.14°, rel. 100.0
30.67°, rel. 94.3
31.68°, rel. 69.3
44.09°, rel. 57.2

Structure:
a = 7.243 Å, b = 7.243 Å, c = 12.517 Å
α = 104.12°, β = 104.12°, γ = 32.95°
Positions (direct):
Pm1 0.000 0.000 0.000
Nd1 0.113 0.113 0.421
Nd2 0.225 0.225 0.844
Nd3 0.413 0.413 0.612
Nd4 0.813 0.813 0.232
Se1 0.072 0.072 0.637
Se2 0.154 0.154 0.205
Se3 0.373 0.373 0.071
Se4 0.453 0.453 0.372
Se5 0.611 0.611 0.922
Se6 0.773 0.773 0.472
Se7 0.854 0.854 0.774